[1]
For Tl3TeI7, DFT lattice parameters and positions (PBE) gives the simulated XRD peak list in this record (Cu Kα (λ = 1.5418 Å)).
Lines closer than 0.1° are merged.

Main lines, sorted by position (2θ from 10° to 90°):
2θ/deg	d/Å	I/Imax
16.08	5.510	51.5
20.06	4.427	37.2
20.24	4.388	100.0
26.44	3.371	39.3
28.48	3.134	97.8
29.47	3.031	67.3
30.51	2.930	58.2
33.00	2.714	46.7
33.75	2.656	28.4
34.14	2.626	46.2
34.36	2.610	28.7
34.52	2.598	31.9

Crystal structure
```
data_Tl3TeI7
_chemical_formula_sum 'Tl6 Te2 I14'
_space_group_name_H-M_alt 'C 1 m 1'
_space_group_IT_number 8
_cell_length_a 12.845
_cell_length_b 10.623
_cell_length_c 9.075
_cell_angle_alpha 90.00
_cell_angle_beta 120.91
_cell_angle_gamma 90.00
loop_
_space_group_symop_operation_xyz
'x,y,z'
'x,-y,z'
'x+1/2,y+1/2,z'
'x+1/2,-y+1/2,z'
loop_
_atom_site_label
_atom_site_type_symbol
_atom_site_fract_x
_atom_site_fract_y
_atom_site_fract_z
Tl1 Tl 0.000 0.000 0.000
Tl2 Tl 0.014 0.295 0.575
Te1 Te 0.494 0.000 0.057
I1 I 0.137 0.296 0.302
I2 I 0.176 0.500 0.944
I3 I 0.325 0.000 0.190
I4 I 0.348 0.199 0.795
I5 I 0.490 0.500 0.634
```

[2]
For Tl5TeI4, DFT lattice parameters and positions (PBE) gives the simulated XRD peak list in this record (Cu Kα (λ = 1.5418 Å)).
Lines closer than 0.1° are merged.

Main lines, sorted by position (2θ from 10° to 90°):
2θ/deg	d/Å	I/Imax
22.12	4.018	13.6
25.37	3.511	100.0
26.07	3.419	47.5
36.18	2.483	38.9
36.69	2.449	76.6
45.13	2.009	41.9
58.80	1.570	18.0
59.16	1.562	17.9
60.21	1.537	18.3
65.40	1.427	26.1
66.40	1.408	13.3
83.62	1.156	13.5

Crystal structure
```
data_Tl5TeI4
_chemical_formula_sum 'Tl10 Te2 I8'
_space_group_name_H-M_alt 'I 4'
_space_group_IT_number 79
_cell_length_a 11.104
_cell_length_b 11.104
_cell_length_c 6.837
_cell_angle_alpha 90.00
_cell_angle_beta 90.00
_cell_angle_gamma 90.00
loop_
_space_group_symop_operation_xyz
'x,y,z'
'-y,x,z'
'-x,-y,z'
'y,-x,z'
'x+1/2,y+1/2,z+1/2'
'-y+1/2,x+1/2,z+1/2'
'-x+1/2,-y+1/2,z+1/2'
'y+1/2,-x+1/2,z+1/2'
loop_
_atom_site_label
_atom_site_type_symbol
_atom_site_fract_x
_atom_site_fract_y
_atom_site_fract_z
Tl1 Tl 0.000 0.000 0.000
Tl2 Tl 0.096 0.715 0.498
Te1 Te 0.000 0.000 0.500
I1 I 0.098 0.699 0.998
```

[3]
For Tl8Te3I2, DFT lattice parameters and positions (PBE) gives the simulated XRD peak list in this record (Cu Kα (λ = 1.5418 Å)).
Lines closer than 0.1° are merged.

Main lines, sorted by position (2θ from 10° to 90°):
2θ/deg	d/Å	I/Imax
10.25	8.631	9.4
20.58	4.316	11.8
22.02	4.036	22.6
30.32	2.948	100.0
30.58	2.924	24.1
32.09	2.789	24.9
38.42	2.343	14.2
41.86	2.158	8.3
44.92	2.018	17.0
54.19	1.693	15.1
56.11	1.639	17.9
63.07	1.474	9.5

Crystal structure
```
data_Tl8Te3I2
_chemical_formula_sum 'Tl16 Te6 I4'
_space_group_name_H-M_alt 'C m m m'
_space_group_IT_number 65
_space_group_name_Hall '-C 2 2'
_cell_length_a 11.695
_cell_length_b 17.263
_cell_length_c 5.578
_cell_angle_alpha 90.00
_cell_angle_beta 90.00
_cell_angle_gamma 90.00
loop_
_atom_site_label
_atom_site_type_symbol
_atom_site_fract_x
_atom_site_fract_y
_atom_site_fract_z
Tl1 Tl 0.000 0.108 0.000
Tl2 Tl 0.000 0.383 0.000
Tl3 Tl 0.230 0.113 0.500
Te1 Te 0.000 0.000 0.500
Te2 Te 0.226 0.500 0.000
I1 I 0.000 0.263 0.500
```

[4]
For U2TeI8, DFT lattice parameters and positions (PBE) gives the simulated XRD peak list in this record (Cu Kα (λ = 1.5418 Å)).
Lines closer than 0.1° are merged.

Main lines, sorted by position (2θ from 10° to 90°):
2θ/deg	d/Å	I/Imax
11.12	7.956	100.0
12.84	6.893	67.6
14.58	6.077	72.6
18.78	4.725	54.2
20.46	4.341	36.7
24.32	3.659	29.4
25.85	3.447	59.2
29.75	3.003	64.5
30.58	2.924	61.6
35.12	2.555	36.3
44.11	2.053	44.3
44.69	2.028	38.3

Crystal structure
```
data_U2TeI8
_chemical_formula_sum 'U4 Te2 I16'
_space_group_name_H-M_alt 'C 1 2/m 1'
_space_group_IT_number 12
_cell_length_a 9.741
_cell_length_b 13.786
_cell_length_c 9.451
_cell_angle_alpha 90.00
_cell_angle_beta 90.38
_cell_angle_gamma 90.00
loop_
_space_group_symop_operation_xyz
'x,y,z'
'-x,-y,-z'
'-x,y,-z'
'x,-y,z'
'x+1/2,y+1/2,z'
'-x+1/2,-y+1/2,-z'
'-x+1/2,y+1/2,-z'
'x+1/2,-y+1/2,z'
loop_
_atom_site_label
_atom_site_type_symbol
_atom_site_fract_x
_atom_site_fract_y
_atom_site_fract_z
U1 U 0.110 0.000 0.286
Te1 Te 0.000 0.000 0.000
I1 I 0.102 0.209 0.286
I2 I 0.107 0.500 0.797
I3 I 0.188 0.000 0.602
```